Structure and theoretical powder XRD pattern of AsWO6 (the PBE+U geometry in Alexandria; a wavelength of 1.5418 Å).
Intensities are scaled so that the largest is 100.

Structure:
a b c (Å): 4.7374 9.7321 4.7373
angles (deg): 90.00 104.32 90.00
Space group C2/m (No. 12)
Asymmetric unit:
As (0.0000, 0.0000, 0.0000) x2
W (0.0000, 0.5000, 0.5000) x2
O (0.2355, 0.1286, 0.2380) x8
O (0.2459, 0.0000, 0.7565) x4

The 8 most intense peaks (2θ = 10–90°), sorted by position:
two_theta, intensity, (hkl)
18.23, 100, 0 2 0
21.40, 15, 1 1 0
25.51, 78, 1 1 -1
32.15, 35, 1 1 1
41.73, 32, 1 3 1
43.61, 30, 2 2 0
55.01, 22, 0 4 2
66.01, 15, 3 3 -1